Starting from the GGA-PBE geometry in OQMD, the X-ray diffraction stick pattern of SmBeO3 was calculated for λ = 1.5418 Å (Cu Kα).
Kinematic intensities with the Lorentz-polarization factor, no thermal factor.

Structure:
```
data_SmBeO3
_cell_length_a 3.3903
_cell_length_b 3.3903
_cell_length_c 4.2890
_cell_angle_alpha 90.00
_cell_angle_beta 90.00
_cell_angle_gamma 90.00
_symmetry_space_group_name_H-M 'P 4 m m'
_symmetry_Int_Tables_number 99
loop_
_symmetry_equiv_pos_as_xyz
'x,y,z'
'-y,x,z'
'-x,-y,z'
'y,-x,z'
'-x,y,z'
'y,x,z'
'x,-y,z'
'-y,-x,z'
loop_
_atom_site_label
_atom_site_type_symbol
_atom_site_fract_x
_atom_site_fract_y
_atom_site_fract_z
_atom_site_occupancy
Sm1 Sm 0.0000 0.0000 0.0000 1
Be1 Be 0.5000 0.5000 0.4858 1
O1 O 0.0000 0.5000 0.5922 1
O2 O 0.5000 0.5000 0.1109 1
```

Main lines, low angle first (2θ from 5° to 70°):
- 20.71 deg, I 65.5, (0 0 1)
- 26.29 deg, I 72.4, (1 0 0)
- 33.70 deg, I 100.0, (1 0 1)
- 37.52 deg, I 35.3, (1 1 0)
- 43.23 deg, I 82.6, (1 1 1)
- 65.27 deg, I 34.3, (2 1 1)

=====

Starting from the GGA-PBE geometry in OQMD, the X-ray diffraction stick pattern of Ni17Bi was calculated for λ = 1.5418 Å (Cu Kα).
Kinematic intensities with the Lorentz-polarization factor, no thermal factor.

Structure:
```
data_Ni17Bi
_cell_length_a 4.9316
_cell_length_b 4.9316
_cell_length_c 31.1401
_cell_angle_alpha 90.00
_cell_angle_beta 90.00
_cell_angle_gamma 120.00
_symmetry_space_group_name_H-M 'P 3 m 1'
_symmetry_Int_Tables_number 156
loop_
_symmetry_equiv_pos_as_xyz
'x,y,z'
'-y,x-y,z'
'-x+y,-x,z'
'-y,-x,z'
'-x+y,y,z'
'x,x-y,z'
loop_
_atom_site_label
_atom_site_type_symbol
_atom_site_fract_x
_atom_site_fract_y
_atom_site_fract_z
_atom_site_occupancy
Ni1 Ni 0.0000 0.0000 0.0000 1
Ni2 Ni 0.0000 0.0000 0.1920 1
Ni3 Ni 0.0000 0.0000 0.3847 1
Ni4 Ni 0.0000 0.5000 0.1921 1
Ni5 Ni 0.0034 0.5017 0.3864 1
Ni6 Ni 0.1651 0.3302 0.9356 1
Ni7 Ni 0.1670 0.3340 0.1277 1
Ni8 Ni 0.1672 0.3345 0.3214 1
Ni9 Ni 0.3302 0.1651 0.4487 1
Ni10 Ni 0.3333 0.6667 0.0622 1
Ni11 Ni 0.3333 0.6667 0.2570 1
Ni12 Ni 0.3343 0.1671 0.0636 1
Ni13 Ni 0.3337 0.1669 0.2568 1
Ni14 Ni 0.5016 0.0033 0.9983 1
Ni15 Ni 0.6667 0.3333 0.1275 1
Ni16 Ni 0.6667 0.3333 0.3225 1
Bi1 Bi 0.3333 0.6667 0.4843 1
Bi2 Bi 0.6667 0.3333 0.9002 1
```

Main lines, low angle first (2θ from 5° to 70°):
- 5.68 deg, I 100.0, (0 0 2)
- 11.37 deg, I 11.6, (0 0 4)
- 43.97 deg, I 14.7, (2 0 4)
- 44.87 deg, I 49.3, (2 0 5)
- 45.96 deg, I 14.7, (2 0 6)
- 51.92 deg, I 21.8, (0 2 10)

=====

Starting from the GGA-PBE geometry in OQMD, the X-ray diffraction stick pattern of CsKInAu3 was calculated for λ = 1.5418 Å (Cu Kα).
Kinematic intensities with the Lorentz-polarization factor, no thermal factor.

Structure:
```
data_CsKInAu3
_cell_length_a 5.7422
_cell_length_b 6.8540
_cell_length_c 9.3834
_cell_angle_alpha 90.00
_cell_angle_beta 90.00
_cell_angle_gamma 90.00
_symmetry_space_group_name_H-M 'P m m a'
_symmetry_Int_Tables_number 51
loop_
_symmetry_equiv_pos_as_xyz
'x,y,z'
'-x,-y,-z'
'-x+1/2,-y,z'
'x+1/2,y,-z'
'x+1/2,-y,-z'
'-x+1/2,y,z'
'-x,y,-z'
'x,-y,z'
loop_
_atom_site_label
_atom_site_type_symbol
_atom_site_fract_x
_atom_site_fract_y
_atom_site_fract_z
_atom_site_occupancy
Cs1 Cs 0.2500 0.0000 0.1315 1
K1 K 0.2500 0.5000 0.3677 1
In1 In 0.2500 0.5000 0.9177 1
Au1 Au 0.0000 0.0000 0.5000 1
Au2 Au 0.2500 0.2191 0.7090 1
```

Main lines, low angle first (2θ from 5° to 70°):
- 18.11 deg, I 100.0, (1 0 1)
- 27.79 deg, I 74.5, (1 1 2)
- 31.87 deg, I 95.2, (1 2 1)
- 32.35 deg, I 81.3, (0 2 2)
- 39.02 deg, I 76.6, (0 2 3)
- 42.17 deg, I 70.7, (2 2 1)